For HfCd3W, a DFT-relaxed cell (PBE, Alexandria) gives the simulated XRD peak list in this record (CuKα).
Lines closer than 0.1° are merged.

Top 10 peaks for 2θ = 10–90°, by angle:
two_theta	Rel. int.	hkl
17.33	17	1 0 0
24.61	58	1 1 0
30.25	47	1 1 1
35.08	100	2 0 0
43.32	27	2 1 1
50.45	70	2 2 0
59.96	19	3 1 1
62.92	24	2 2 2
68.63	14	3 2 1
84.72	32	4 2 0

Crystal structure
```
data_HfCd3W
_cell_length_a 5.1167
_cell_length_b 5.1167
_cell_length_c 5.1167
_cell_angle_alpha 90.00
_cell_angle_beta 90.00
_cell_angle_gamma 90.00
_symmetry_space_group_name_H-M 'P m -3 m'
_symmetry_Int_Tables_number 221
_symmetry_space_group_name_Hall '-P 4 2 3'
loop_
_atom_site_label
_atom_site_fract_x
_atom_site_fract_y
_atom_site_fract_z
Hf1 0.0000 0.0000 0.0000
Cd1 0.0000 0.5000 0.5000
W1 0.5000 0.5000 0.5000
```